1.
For Sc2Te3O9, a cell relaxed with GGA-PBE gives the theoretical powder XRD pattern in this record (Cu Kα X-rays).

Peak list (12 most intense, 2θ = 15–90°, by intensity)
2θ = 25.12°, intensity 100, hkl 1 1 -2; 2θ = 27.82°, intensity 93, hkl 1 6 -1; 2θ = 28.58°, intensity 59, hkl 1 6 0; 2θ = 21.52°, intensity 51, hkl 1 3 0; 2θ = 28.33°, intensity 42, hkl 1 2 1; 2θ = 18.61°, intensity 35, hkl 1 0 0; 2θ = 26.94°, intensity 33, hkl 0 1 2; 2θ = 27.63°, intensity 31, hkl 1 1 1; 2θ = 25.37°, intensity 27, hkl 0 6 1; 2θ = 49.12°, intensity 24, hkl 2 7 -3; 2θ = 30.79°, intensity 24, hkl 1 7 -1; 2θ = 35.26°, intensity 23, hkl 2 0 -2

Structure:
```
data_Sc2Te3O9
_chemical_formula_sum 'Sc8 Te12 O36'
_symmetry_space_group_name_H-M 'P 1 21/c 1'
_symmetry_Int_Tables_number 14
_cell_length_a 5.320
_cell_length_b 24.768
_cell_length_c 7.451
_cell_angle_alpha 90.00
_cell_angle_beta 116.32
_cell_angle_gamma 90.00
loop_
_symmetry_equiv_pos_as_xyz
'x,y,z'
'-x,-y,-z'
'-x,y+1/2,-z+1/2'
'x,-y+1/2,z+1/2'
loop_
_atom_site_label
_atom_site_type_symbol
_atom_site_fract_x
_atom_site_fract_y
_atom_site_fract_z
Sc1 Sc 0.110 0.161 0.122
Sc2 Sc 0.166 0.027 0.364
Te1 Te 0.232 0.617 0.026
Te2 Te 0.443 0.564 0.601
Te3 Te 0.496 0.223 0.829
O1 O 0.043 0.548 0.951
O2 O 0.086 0.622 0.215
O3 O 0.152 0.726 0.445
O4 O 0.187 0.517 0.407
O5 O 0.189 0.615 0.619
O6 O 0.296 0.183 0.939
O7 O 0.401 0.091 0.294
O8 O 0.407 0.204 0.363
O9 O 0.468 0.527 0.836
```



2.
For Sc2Ti2O7, a cell relaxed with GGA-PBE gives the theoretical powder XRD pattern in this record (Cu Kα X-rays).

Peak list (12 most intense, 2θ = 15–90°, by intensity)
2θ = 26.35°, intensity 100, hkl 0 2 1; 2θ = 26.18°, intensity 49, hkl 1 1 1; 2θ = 50.83°, intensity 33, hkl 1 3 2; 2θ = 30.50°, intensity 30, hkl 2 0 -1; 2θ = 17.17°, intensity 24, hkl 1 1 0; 2θ = 44.71°, intensity 22, hkl 3 1 -1; 2θ = 61.91°, intensity 21, hkl 0 6 0; 2θ = 60.20°, intensity 13, hkl 3 3 -2; 2θ = 34.74°, intensity 11, hkl 2 2 0; 2θ = 46.07°, intensity 10, hkl 2 2 -2; 2θ = 57.03°, intensity 10, hkl 1 5 1; 2θ = 58.50°, intensity 9, hkl 4 0 0

Structure:
```
data_Sc2Ti2O7
_chemical_formula_sum 'Sc4 Ti4 O14'
_symmetry_space_group_name_H-M 'C 1 2/m 1'
_symmetry_Int_Tables_number 12
_cell_length_a 6.413
_cell_length_b 8.988
_cell_length_c 5.221
_cell_angle_alpha 90.00
_cell_angle_beta 100.23
_cell_angle_gamma 90.00
loop_
_symmetry_equiv_pos_as_xyz
'x,y,z'
'-x,-y,-z'
'-x,y,-z'
'x,-y,z'
'x+1/2,y+1/2,z'
'-x+1/2,-y+1/2,-z'
'-x+1/2,y+1/2,-z'
'x+1/2,-y+1/2,z'
loop_
_atom_site_label
_atom_site_type_symbol
_atom_site_fract_x
_atom_site_fract_y
_atom_site_fract_z
Sc1 Sc 0.000 0.188 0.000
Ti1 Ti 0.245 0.000 0.606
O1 O 0.000 0.500 0.500
O2 O 0.068 0.000 0.268
O3 O 0.228 0.327 0.199
```



3.
For Sc4Ti3O12, a cell relaxed with GGA-PBE gives the theoretical powder XRD pattern in this record (Cu Kα X-rays).

Peak list (12 most intense, 2θ = 15–90°, by intensity)
2θ = 31.17°, intensity 100, hkl 0 2 -2; 2θ = 31.32°, intensity 56, hkl 1 0 -4; 2θ = 32.09°, intensity 50, hkl 2 -1 0; 2θ = 53.19°, intensity 38, hkl -3 1 4; 2θ = 52.12°, intensity 21, hkl 1 2 -6; 2θ = 52.90°, intensity 19, hkl 2 -3 2; 2θ = 51.94°, intensity 18, hkl 0 1 6; 2θ = 51.76°, intensity 17, hkl 1 3 0; 2θ = 36.57°, intensity 15, hkl 2 1 -2; 2θ = 61.95°, intensity 9, hkl 2 3 -4; 2θ = 62.33°, intensity 9, hkl -2 2 6; 2θ = 62.47°, intensity 8, hkl 2 0 6

Structure:
```
data_Sc4Ti3O12
_chemical_formula_sum 'Sc8 Ti6 O24'
_symmetry_space_group_name_H-M 'P -1'
_symmetry_Int_Tables_number 2
_cell_length_a 5.923
_cell_length_b 6.089
_cell_length_c 12.159
_cell_angle_alpha 99.42
_cell_angle_beta 99.73
_cell_angle_gamma 98.61
loop_
_symmetry_equiv_pos_as_xyz
'x,y,z'
'-x,-y,-z'
loop_
_atom_site_label
_atom_site_type_symbol
_atom_site_fract_x
_atom_site_fract_y
_atom_site_fract_z
Sc1 Sc 0.115 0.137 0.407
Sc2 Sc 0.195 0.386 0.682
Sc3 Sc 0.201 0.384 0.184
Sc4 Sc 0.365 0.691 0.948
Ti1 Ti 0.104 0.153 0.912
Ti2 Ti 0.346 0.661 0.444
Ti3 Ti 0.489 0.985 0.740
O1 O 0.069 0.826 0.963
O2 O 0.078 0.408 0.840
O3 O 0.084 0.421 0.341
O4 O 0.097 0.817 0.460
O5 O 0.177 0.029 0.202
O6 O 0.189 0.047 0.696
O7 O 0.315 0.424 0.039
O8 O 0.321 0.425 0.536
O9 O 0.413 0.089 0.905
O10 O 0.415 0.693 0.295
O11 O 0.425 0.687 0.778
O12 O 0.472 0.126 0.410
```



4.
For Sc2TiO5, a cell relaxed with GGA-PBE gives the theoretical powder XRD pattern in this record (Cu Kα X-rays).

Peak list (12 most intense, 2θ = 15–90°, by intensity)
2θ = 24.53°, intensity 100, hkl 1 1 0; 2θ = 31.27°, intensity 63, hkl 0 2 3; 2θ = 17.33°, intensity 40, hkl 0 2 0; 2θ = 57.44°, intensity 37, hkl 2 2 3; 2θ = 46.83°, intensity 33, hkl 2 0 0; 2θ = 44.06°, intensity 25, hkl 0 4 3; 2θ = 35.03°, intensity 21, hkl 1 3 0; 2θ = 53.63°, intensity 18, hkl 1 5 2; 2θ = 39.28°, intensity 17, hkl 0 4 2; 2θ = 35.92°, intensity 17, hkl 1 1 3; 2θ = 39.01°, intensity 13, hkl 0 2 4; 2θ = 53.09°, intensity 12, hkl 0 0 6

Structure:
```
data_Sc2TiO5
_chemical_formula_sum 'Sc8 Ti4 O20'
_symmetry_space_group_name_H-M 'C m c 21'
_symmetry_Int_Tables_number 36
_cell_length_a 3.880
_cell_length_b 10.234
_cell_length_c 10.351
_cell_angle_alpha 90.00
_cell_angle_beta 90.00
_cell_angle_gamma 90.00
loop_
_symmetry_equiv_pos_as_xyz
'x,y,z'
'-x,-y,z+1/2'
'-x,y,z'
'x,-y,z+1/2'
'x+1/2,y+1/2,z'
'-x+1/2,-y+1/2,z+1/2'
'-x+1/2,y+1/2,z'
'x+1/2,-y+1/2,z+1/2'
loop_
_atom_site_label
_atom_site_type_symbol
_atom_site_fract_x
_atom_site_fract_y
_atom_site_fract_z
Sc1 Sc 0.000 0.137 0.000
Sc2 Sc 0.000 0.194 0.687
Ti1 Ti 0.000 0.134 0.377
O1 O 0.000 0.036 0.818
O2 O 0.000 0.054 0.545
O3 O 0.000 0.230 0.195
O4 O 0.000 0.301 0.505
O5 O 0.000 0.314 0.866
```